Computed powder XRD pattern of MnCdO2 for a wavelength of 1.5418 Å, from a crystal structure in Alexandria, relaxed with GGA+U.
No peak broadening, texture or thermal motion is included.

Cell and atoms:
abc: 3.5291 3.5291 17.3328
angles: 90.00 90.00 120.00
Space group R3m (No. 160, hexagonal axes)
Asymmetric unit:
Mn  0.0000  0.0000  0.0000 (multiplicity 3)
Cd  0.0000  0.0000  0.4974 (multiplicity 3)
O  0.0000  0.0000  0.3681 (multiplicity 3)
O  0.0000  0.0000  0.8807 (multiplicity 3)

Most intense lines, 2θ from 10° to 90°, low angle first:
2θ (°)	I (rel.)	hkl
15.34	13	0 0 3
29.68	9	1 0 1
31.01	100	0 1 2
35.96	31	1 0 4
39.30	5	0 1 5
51.77	44	1 1 0
61.56	28	1 0 10
61.63	9	2 0 2
64.68	6	0 2 4
76.25	6	2 0 8
84.64	7	1 2 2
87.22	5	1 1 12